No. 1
# DyZn5Au7
Calculated powder diffraction line list, Cu Kα (λ = 1.5418 Å). Input: a crystal structure in Alexandria, relaxed with PBE.
Peak positions follow from Bragg's law for the DFT cell and can differ from measured ones.

Crystal structure
abc: 7.077 7.077 7.077
angles: 135.79 96.97 99.31
Sites, in units of the cell vectors:
Dy  0.000  0.000  0.000
Zn  0.485  0.487  0.500
Zn  0.485  0.985  0.998
Zn  0.753  0.253  0.500
Zn  0.987  0.487  0.002
Zn  0.987  0.985  0.500
Au  0.167  0.479  0.688
Au  0.221  0.721  0.500
Au  0.329  0.994  0.335
Au  0.340  0.340  0.000
Au  0.659  0.994  0.665
Au  0.669  0.669  0.000
Au  0.791  0.479  0.312

Top 10 peaks for 5 to 70 degrees two-theta, low angle first:
| Position (°2θ) | d [Å] | I/Imax |
| --- | --- | --- |
| 27.2 | 3.279 | 34 |
| 33.2 | 2.697 | 84 |
| 33.7 | 2.663 | 65 |
| 33.8 | 2.650 | 39 |
| 38.7 | 2.324 | 100 |
| 39.1 | 2.305 | 83 |
| 39.3 | 2.291 | 39 |
| 43.3 | 2.088 | 30 |
| 43.8 | 2.067 | 79 |
| 69.7 | 1.348 | 29 |

=====

No. 2
# HoPa4O10
Calculated powder diffraction line list, Cu Kα (λ = 1.5418 Å). Input: a crystal structure in Alexandria, relaxed with PBE.
Peak positions follow from Bragg's law for the DFT cell and can differ from measured ones.

Crystal structure
abc: 15.753 15.753 15.753
angles: 14.09 14.09 14.09
Sites, in units of the cell vectors:
Ho  0.000  0.000  0.000
Pa  0.200  0.200  0.200
Pa  0.398  0.398  0.398
Pa  0.602  0.602  0.602
Pa  0.800  0.800  0.800
O  0.051  0.051  0.051
O  0.150  0.150  0.150
O  0.251  0.251  0.251
O  0.352  0.352  0.352
O  0.450  0.450  0.450
O  0.550  0.550  0.550
O  0.648  0.648  0.648
O  0.749  0.749  0.749
O  0.850  0.850  0.850
O  0.949  0.949  0.949

Top 10 peaks for 5 to 70 degrees two-theta, low angle first:
| Position (°2θ) | d [Å] | I/Imax |
| --- | --- | --- |
| 28.3 | 3.151 | 100 |
| 28.6 | 3.119 | 32 |
| 32.9 | 2.722 | 48 |
| 47.0 | 1.932 | 33 |
| 47.4 | 1.917 | 32 |
| 55.8 | 1.647 | 16 |
| 56.0 | 1.642 | 31 |
| 56.3 | 1.633 | 15 |
| 58.6 | 1.575 | 10 |
| 69.0 | 1.361 | 10 |

=====

No. 3
# AgSb2Pb
Calculated powder diffraction line list, Cu Kα (λ = 1.5418 Å). Input: a crystal structure in Alexandria, relaxed with PBE.
Peak positions follow from Bragg's law for the DFT cell and can differ from measured ones.

Crystal structure
abc: 6.150 6.150 6.150
angles: 136.90 136.90 62.59
Sites, in units of the cell vectors:
Ag  0.000  0.000  0.000
Sb  0.250  0.750  0.500
Sb  0.750  0.250  0.500
Pb  0.500  0.500  0.000

Top 10 peaks for 5 to 70 degrees two-theta, low angle first:
| Position (°2θ) | d [Å] | I/Imax |
| --- | --- | --- |
| 21.4 | 4.151 | 7 |
| 32.3 | 2.769 | 3 |
| 32.8 | 2.730 | 100 |
| 34.1 | 2.628 | 23 |
| 39.9 | 2.259 | 29 |
| 53.5 | 1.713 | 25 |
| 57.7 | 1.597 | 10 |
| 60.3 | 1.536 | 17 |
| 68.0 | 1.379 | 24 |
| 68.8 | 1.365 | 12 |

=====

No. 4
# Ho2TmCu9
Calculated powder diffraction line list, Cu Kα (λ = 1.5418 Å). Input: a crystal structure in Alexandria, relaxed with PBE.
Peak positions follow from Bragg's law for the DFT cell and can differ from measured ones.

Crystal structure
abc: 8.835 8.835 8.835
angles: 33.67 33.67 33.67
Sites, in units of the cell vectors:
Ho  0.140  0.140  0.140
Ho  0.860  0.860  0.860
Tm  0.000  0.000  0.000
Cu  0.082  0.582  0.582
Cu  0.332  0.332  0.332
Cu  0.418  0.418  0.918
Cu  0.418  0.918  0.418
Cu  0.500  0.500  0.500
Cu  0.582  0.082  0.582
Cu  0.582  0.582  0.082
Cu  0.668  0.668  0.668
Cu  0.918  0.418  0.418

Top 10 peaks for 5 to 70 degrees two-theta, low angle first:
| Position (°2θ) | d [Å] | I/Imax |
| --- | --- | --- |
| 32.2 | 2.779 | 45 |
| 35.1 | 2.556 | 81 |
| 40.9 | 2.207 | 35 |
| 41.4 | 2.180 | 100 |
| 43.5 | 2.082 | 12 |
| 44.7 | 2.026 | 13 |
| 44.8 | 2.021 | 12 |
| 61.1 | 1.516 | 14 |
| 62.9 | 1.477 | 21 |
| 67.2 | 1.392 | 21 |